Cd5Si: computed XRD peak list (Cu Kα, 1.54184 Å), based on a PBE-relaxed structure.
Intensities are scaled so that the largest is 100.

Main lines, most intense first (15 to 90 degrees two-theta):
| two_theta | d [Å] | I (rel.) | h k l |
| --- | --- | --- | --- |
| 35.8 | 2.511 | 100 | 3 1 0 |
| 40.0 | 2.254 | 49 | 1 1 -2 |
| 33.7 | 2.658 | 39 | 2 0 2 |
| 42.8 | 2.114 | 20 | 6 0 0 |
| 58.6 | 1.575 | 15 | 5 1 2 |
| 61.3 | 1.511 | 13 | 7 1 -2 |

Structural model:
```
data_Cd5Si
_space_group_name_H-M_alt 'C 1 2/m 1'
_space_group_IT_number 12
_cell_length_a 12.930
_cell_length_b 3.125
_cell_length_c 6.523
_cell_angle_alpha 90.00
_cell_angle_beta 101.14
_cell_angle_gamma 90.00
loop_
_space_group_symop_operation_xyz
'x,y,z'
'-x,-y,-z'
'-x,y,-z'
'x,-y,z'
'x+1/2,y+1/2,z'
'-x+1/2,-y+1/2,-z'
'-x+1/2,y+1/2,-z'
'x+1/2,-y+1/2,z'
loop_
_atom_site_label
_atom_site_fract_x
_atom_site_fract_y
_atom_site_fract_z
Cd1 0.000 0.000 0.000
Cd2 0.159 0.500 0.336
Cd3 0.164 0.500 0.816
Si1 0.000 0.000 0.500
```